Record 1
# Sc
Simulated XRD peak list, Cu Kα, 1.54184 Å. Input: a crystal structure in the Materials Project, relaxed with GGA-PBE.
Peak positions follow from Bragg's law for the DFT cell and can differ from measured ones.

Structural model:
```
data_Sc
_space_group_name_H-M_alt 'F m -3 m'
_space_group_IT_number 225
_space_group_name_Hall '-F 4 2 3'
_cell_length_a 4.619
_cell_length_b 4.619
_cell_length_c 4.619
_cell_angle_alpha 90.00
_cell_angle_beta 90.00
_cell_angle_gamma 90.00
loop_
_atom_site_label
_atom_site_type_symbol
_atom_site_fract_x
_atom_site_fract_y
_atom_site_fract_z
_atom_site_occupancy
Sc1 Sc 0.000 0.000 0.000 1
```

Principal peaks in the range 5° ≤ 2θ ≤ 70°, low angle first:
| d [Å] | intensity | hkl |
| --- | --- | --- |
| 2.667 | 100 | 1 1 1 |
| 2.309 | 48 | 2 0 0 |
| 1.633 | 30 | 2 2 0 |
| 1.393 | 33 | 3 1 1 |

Record 2
# MgW3
Simulated XRD peak list, Cu Kα, 1.54184 Å. Input: a crystal structure in the Materials Project, relaxed with GGA-PBE.
Peak positions follow from Bragg's law for the DFT cell and can differ from measured ones.

Structural model:
```
data_MgW3
_space_group_name_H-M_alt 'P 63/m m c'
_space_group_IT_number 194
_space_group_name_Hall '-P 6c 2c'
_cell_length_a 5.7844
_cell_length_b 5.7844
_cell_length_c 4.6857
_cell_angle_alpha 90.00
_cell_angle_beta 90.00
_cell_angle_gamma 120.00
loop_
_atom_site_label
_atom_site_type_symbol
_atom_site_fract_x
_atom_site_fract_y
_atom_site_fract_z
_atom_site_occupancy
Mg1 Mg 0.3333 0.6667 0.2500 1
W1 W 0.1546 0.3093 0.7500 1
```

Principal peaks in the range 5° ≤ 2θ ≤ 70°, low angle first:
| d [Å] | intensity | hkl |
| --- | --- | --- |
| 5.009 | 27 | 1 0 0 |
| 3.422 | 16 | 1 0 1 |
| 2.892 | 10 | 1 1 0 |
| 2.505 | 24 | 2 0 0 |
| 2.343 | 27 | 0 0 2 |
| 2.209 | 100 | 2 0 1 |
| 2.122 | 6 | 1 0 2 |
| 1.755 | 15 | 2 1 1 |
| 1.711 | 15 | 2 0 2 |
| 1.446 | 16 | 2 2 0 |